Calculated X-ray powder pattern of ReH2NCl4O for Cu Ka, from a DFT-relaxed cell (PBE, OQMD).
Lines closer than 0.1° are merged.

Cell and atoms:
Cell: 10.9679 11.1521 5.4955 Å, 90.00 90.00 90.00°
Space group Pnma (No. 62)
Inequivalent atoms, fractional coordinates:
Re  0.1515  0.2500  0.1095 (multiplicity 4)
H  0.0028  0.6804  0.3119 (multiplicity 8)
N  0.2424  0.7500  0.8297 (multiplicity 4)
Cl  0.0209  0.1062  0.2743 (multiplicity 8)
Cl  0.2313  0.1033  0.8648 (multiplicity 8)
O  0.0058  0.7500  0.2028 (multiplicity 4)

Main lines, low angle first (2θ from 5° to 70°):
d [Å], 2θ/deg, Rel. int., index
5.576, 15.9, 37, 0 2 0
4.922, 18.0, 100, 2 1 0
4.496, 19.7, 52, 1 1 1
3.186, 28.0, 14, 2 2 1
3.078, 29.0, 15, 2 3 0
3.044, 29.3, 13, 3 0 1
2.685, 33.4, 24, 2 3 1
2.405, 37.4, 14, 1 2 2



Calculated X-ray powder pattern of Pr2SmAg4Sn4 for Cu Ka, from a DFT-relaxed cell (PBE, OQMD).
Lines closer than 0.1° are merged.

Cell and atoms:
Cell: 4.6969 7.3436 15.5829 Å, 90.00 90.00 90.00°
Space group Immm (No. 71)
Inequivalent atoms, fractional coordinates:
Pr  0.0000  0.0000  0.1290 (multiplicity 4)
Sm  0.0000  0.5000  0.0000 (multiplicity 2)
Ag  0.0000  0.1962  0.3295 (multiplicity 8)
Sn  0.0000  0.3022  0.5000 (multiplicity 4)
Sn  0.0000  0.5000  0.2133 (multiplicity 4)

Main lines, low angle first (2θ from 5° to 70°):
d [Å], 2θ/deg, Rel. int., index
2.869, 31.2, 27, 0 1 5
2.844, 31.5, 100, 1 2 1
2.776, 32.2, 83, 1 1 4
2.597, 34.5, 30, 0 0 6
2.348, 38.3, 47, 2 0 0
2.214, 40.7, 27, 0 3 3
2.120, 42.6, 33, 1 2 5
1.611, 57.2, 19, 2 3 3



Calculated X-ray powder pattern of As5Pd3Au for Cu Ka, from a DFT-relaxed cell (PBE, OQMD).
Lines closer than 0.1° are merged.

Cell and atoms:
Cell: 5.4392 5.4392 6.9114 Å, 90.00 90.00 120.00°
Space group P6/mmm (No. 191)
Inequivalent atoms, fractional coordinates:
As  0.0000  0.0000  0.0000 (multiplicity 1)
As  0.3333  0.6667  0.3002 (multiplicity 4)
Pd  0.0000  0.5000  0.0000 (multiplicity 3)
Au  0.0000  0.0000  0.5000 (multiplicity 1)

Main lines, low angle first (2θ from 5° to 70°):
d [Å], 2θ/deg, Rel. int., index
3.892, 22.8, 41, 1 0 1
2.786, 32.1, 46, 1 0 2
2.720, 32.9, 58, 1 1 0
2.531, 35.5, 44, 1 1 1
2.355, 38.2, 34, 2 0 0
2.070, 43.7, 29, 1 0 3
1.946, 46.7, 100, 2 0 2
1.360, 69.1, 24, 2 2 0